Diffraction record for Be17VRh. The X-ray powder pattern is calculated, not measured: it uses a cell relaxed with GGA-PBE and CuKα.
No peak broadening, texture or thermal motion is included.

The 12 most intense peaks (2θ from 5° to 70°), by angle:
| d/Å | intensity |
| --- | --- |
| 5.389 | 95.5 |
| 4.045 | 49.9 |
| 3.612 | 96.8 |
| 3.535 | 31.8 |
| 3.001 | 27.6 |
| 2.526 | 100.0 |
| 2.308 | 25.9 |
| 2.160 | 21.9 |
| 2.086 | 39.8 |
| 1.806 | 31.7 |
| 1.796 | 59.9 |
| 1.766 | 29.6 |

a b c (Å): 5.4675 5.4675 5.4675
angles (deg): 82.70 82.70 82.70
Fractional coordinates of all 19 atoms:
Be 0.0016 0.4992 0.4992
Be 0.0494 0.0494 0.0494
Be 0.1405 0.1405 0.6577
Be 0.1405 0.6577 0.1405
Be 0.1523 0.4508 0.8465
Be 0.1523 0.8465 0.4508
Be 0.2515 0.2515 0.2515
Be 0.3177 0.7990 0.7990
Be 0.4508 0.1523 0.8465
Be 0.4508 0.8465 0.1523
Be 0.4992 0.0016 0.4992
Be 0.4992 0.4992 0.0016
Be 0.6577 0.1405 0.1405
Be 0.7990 0.3177 0.7990
Be 0.7990 0.7990 0.3177
Be 0.8465 0.1523 0.4508
Be 0.8465 0.4508 0.1523
V 0.8127 0.8127 0.8127
Rh 0.4857 0.4857 0.4857